For K2MgFe4P6O16F12, the GGA+U geometry in the Materials Project gives the simulated X-ray diffraction stick pattern in this record (copper Kα).
No peak broadening, texture or thermal motion is included.

Principal peaks in the range 15° ≤ 2θ ≤ 90°, in order of rising 2θ:
Position (°2θ), I/Imax
16.10, 41.7
17.57, 17.6
25.27, 100.0
25.88, 41.2
26.51, 30.6
26.65, 19.9
26.82, 64.6
27.33, 57.4
31.34, 17.2
42.22, 20.1

```
41
Lattice="7.583 0.000 0.000 -0.277 7.806 0.000 -3.589 -2.268 10.025" Properties=species:S:1:pos:R:3 pbc="T T T"
K 0.000 0.000 0.000
K 1.894 5.820 4.073
Mg 3.085 2.067 5.048
Fe -0.879 5.296 7.313
Fe 1.062 2.486 9.002
Fe 4.805 2.601 2.133
Fe 5.223 0.232 5.606
P 0.038 1.554 3.696
P 1.996 3.689 0.641
P 3.812 7.580 0.387
P 1.759 -0.154 7.051
P 4.006 3.193 7.401
P 5.465 5.158 4.253
O -2.636 4.302 7.764
O -0.664 2.300 2.634
O -1.148 4.784 5.375
O -0.544 0.936 4.907
O -0.866 2.104 9.553
O -0.744 5.669 9.283
O 1.006 -1.445 6.762
O 2.691 3.022 1.778
O 0.996 0.936 7.762
O 2.497 0.314 5.788
O 4.745 6.407 0.091
O 4.872 0.921 0.971
O 4.650 4.005 3.683
O 3.016 2.875 8.486
O 4.574 6.361 4.549
O 4.542 2.036 6.563
F -1.124 5.635 3.083
F -1.730 -0.912 7.174
F 0.966 2.692 0.000
F 0.975 4.740 1.239
F 0.994 0.485 3.010
F 1.246 2.532 4.243
F 0.269 3.671 7.552
F 2.822 7.057 1.548
F 2.987 3.817 6.168
F 5.313 3.745 0.467
F 4.276 1.287 3.840
F 2.929 -0.607 8.050
```